This entry pairs a crystal structure of Fe2CuS3 with its computed XRD peak list. Radiation: Cu Ka. Structure: the PBE geometry in the Materials Project.
Intensities are scaled so that the largest is 100.

Structure:
```
data_Fe2CuS3
_chemical_formula_sum 'Fe8 Cu4 S12'
_cell_length_a 6.214
_cell_length_b 10.607
_cell_length_c 6.536
_cell_angle_alpha 90.00
_cell_angle_beta 90.00
_cell_angle_gamma 90.00
_symmetry_space_group_name_H-M 'P n m a'
_symmetry_Int_Tables_number 62
_symmetry_space_group_name_Hall '-P 2ac 2n'
loop_
_atom_site_label
_atom_site_type_symbol
_atom_site_fract_x
_atom_site_fract_y
_atom_site_fract_z
Fe1 Fe 0.048 0.094 0.090
Cu1 Cu 0.048 0.250 0.567
S1 S 0.088 0.750 0.106
S2 S 0.098 0.581 0.602
```

Peak list (8 most intense, 10 to 90 degrees two-theta, sorted by position)
27.29 deg, I 21, hkl 0 0 2; 28.72 deg, I 100, hkl 2 0 0; 30.92 deg, I 20, hkl 1 0 2; 32.19 deg, I 30, hkl 1 3 1; 49.12 deg, I 37, hkl 0 3 3; 52.29 deg, I 19, hkl 3 0 2; 53.12 deg, I 37, hkl 3 3 1; 57.91 deg, I 20, hkl 2 3 3